Zn4MoAu2: calculated powder diffraction line list (copper Kα), based on a cell relaxed with GGA-PBE.
Kinematic intensities with the Lorentz-polarization factor, no thermal factor.

a = 4.935 Å, b = 4.935 Å, c = 12.873 Å
α = 90.00°, β = 90.00°, γ = 90.00°
Space group I4/mmm (No. 139)
Asymmetric unit:
Zn  0.000  0.000  0.201 (multiplicity 4)
Zn  0.000  0.500  0.000 (multiplicity 4)
Mo  0.000  0.000  0.000 (multiplicity 2)
Au  0.000  0.000  0.394 (multiplicity 4)

Largest 6 diffraction maxima, in order of falling intensity, 10 to 90 degrees two-theta:
hkl, 2θ (°), Rel. int.
1 0 5, 39.48, 100
2 0 0, 36.41, 96
1 1 0, 25.53, 95
2 1 5, 54.78, 76
1 0 1, 19.26, 41
0 0 2, 13.76, 40

=====

TbPmPr2Ho5: calculated powder diffraction line list (copper Kα), based on a cell relaxed with GGA-PBE.
Kinematic intensities with the Lorentz-polarization factor, no thermal factor.

a = 8.698 Å, b = 8.698 Å, c = 15.640 Å
α = 90.00°, β = 90.00°, γ = 90.00°
Space group I4/mcm (No. 140)
Asymmetric unit:
Tb  0.000  0.500  0.250 (multiplicity 4)
Pm  0.000  0.000  0.250 (multiplicity 4)
Pr  0.118  0.382  0.000 (multiplicity 8)
Ho  0.000  0.000  0.000 (multiplicity 4)
Ho  0.211  0.289  0.361 (multiplicity 16)

Largest 6 diffraction maxima, in order of falling intensity, 10 to 90 degrees two-theta:
hkl, 2θ (°), Rel. int.
2 0 4, 30.75, 100
2 2 0, 29.04, 52
2 1 3, 28.63, 45
4 2 4, 52.55, 23
0 0 8, 46.44, 22
4 0 2, 43.23, 19

=====

Y3Cd7Ag: calculated powder diffraction line list (copper Kα), based on a cell relaxed with GGA-PBE.
Kinematic intensities with the Lorentz-polarization factor, no thermal factor.

a = 3.805 Å, b = 22.436 Å, c = 13.227 Å
α = 90.00°, β = 90.00°, γ = 90.00°
Space group Cmcm (No. 63)
Asymmetric unit:
Y  0.000  0.095  0.044 (multiplicity 8)
Y  0.000  0.244  0.750 (multiplicity 4)
Cd  0.000  0.293  0.536 (multiplicity 8)
Cd  0.000  0.359  0.144 (multiplicity 8)
Cd  0.000  0.393  0.750 (multiplicity 4)
Cd  0.000  0.491  0.115 (multiplicity 8)
Ag  0.000  0.063  0.750 (multiplicity 4)

Largest 6 diffraction maxima, in order of falling intensity, 10 to 90 degrees two-theta:
hkl, 2θ (°), Rel. int.
0 6 4, 36.24, 100
1 5 2, 33.73, 79
1 3 3, 33.33, 62
1 1 5, 41.79, 51
1 5 0, 30.81, 49
2 0 0, 47.82, 48